Record 1
# V3O7
Simulated XRD peak list, Cu Kα. Input: a GGA+U-relaxed structure.

Crystal structure
a b c (Å): 14.153 14.153 3.659
angles (deg): 90.00 90.00 90.00
Space group I4/mmm (No. 139)
Symmetry-distinct sites (fractional):
V: 0.000 0.000 0.000 x2
V: 0.000 0.365 0.000 x8
V: 0.184 0.184 0.000 x8
O: 0.000 0.000 0.500 x2
O: 0.000 0.407 0.500 x8
O: 0.093 0.292 0.000 x16
O: 0.100 0.100 0.000 x8
O: 0.208 0.208 0.500 x8

Peak list (10 most intense, 10° ≤ 2θ ≤ 80°, in order of falling intensity)
- 26.7 deg, I = 100, (3 3 0)
- 25.1 deg, I = 57, (1 0 1)
- 17.7 deg, I = 43, (2 2 0)
- 45.3 deg, I = 42, (5 5 0)
- 33.5 deg, I = 40, (3 2 1)
- 56.7 deg, I = 26, (6 5 1)
- 49.8 deg, I = 23, (0 0 2)
- 28.2 deg, I = 21, (2 1 1)
- 61.4 deg, I = 21, (8 3 1)
- 57.4 deg, I = 19, (3 3 2)


Record 2
# V10O9
Simulated XRD peak list, Cu Kα. Input: a GGA+U-relaxed structure.

Crystal structure
a b c (Å): 5.444 6.288 7.031
angles (deg): 102.93 97.43 106.77
Space group P-1 (No. 2)
Symmetry-distinct sites (fractional):
V: 0.001 0.250 0.001 x2
V: 0.205 0.656 0.402 x2
V: 0.206 0.148 0.401 x2
V: 0.399 0.550 0.800 x2
V: 0.401 0.049 0.795 x2
O: 0.094 0.698 0.698 x2
O: 0.100 0.199 0.700 x2
O: 0.300 0.601 0.101 x2
O: 0.302 0.099 0.097 x2
O: 0.500 0.500 0.500 x1

Peak list (5 most intense, 10° ≤ 2θ ≤ 80°, in order of falling intensity)
- 40.6 deg, I = 100, (1 2 0)
- 35.0 deg, I = 62, (1 0 2)
- 58.7 deg, I = 57, (3 0 1)
- 70.2 deg, I = 23, (2 2 2)
- 73.8 deg, I = 17, (4 0 -2)


Record 3
# V7O3
Simulated XRD peak list, Cu Kα. Input: a GGA+U-relaxed structure.

Crystal structure
a b c (Å): 5.250 5.294 5.339
angles (deg): 100.18 99.22 98.74
Space group P-1 (No. 2)
Symmetry-distinct sites (fractional):
V: 0.000 0.000 0.000 x1
V: 0.139 0.571 0.271 x2
V: 0.288 0.140 0.575 x2
V: 0.433 0.721 0.865 x2
O: 0.072 0.776 0.634 x2
O: 0.500 0.500 0.500 x1

Peak list (10 most intense, 10° ≤ 2θ ≤ 80°, in order of falling intensity)
- 41.9 deg, I = 100, (2 -1 1)
- 36.2 deg, I = 89, (2 0 -1)
- 41.5 deg, I = 52, (1 2 -1)
- 35.6 deg, I = 46, (0 1 -2)
- 35.8 deg, I = 46, (1 1 1)
- 60.3 deg, I = 29, (2 1 -3)
- 60.6 deg, I = 29, (3 1 0)
- 72.3 deg, I = 20, (3 2 -2)
- 60.0 deg, I = 15, (1 0 3)
- 61.4 deg, I = 14, (-3 2 1)


Record 4
# YVW2O8
Simulated XRD peak list, Cu Kα. Input: a GGA+U-relaxed structure.

Crystal structure
a b c (Å): 5.153 5.784 5.925
angles (deg): 107.46 91.29 108.33
Space group P1 (No. 1)
Symmetry-distinct sites (fractional):
Y: 0.000 0.000 0.000 x1
V: 0.493 0.998 0.523 x1
W: 0.237 0.489 0.687 x1
W: 0.745 0.517 0.355 x1
O: 0.133 0.687 0.475 x1
O: 0.226 0.726 0.969 x1
O: 0.269 0.197 0.777 x1
O: 0.362 0.287 0.355 x1
O: 0.646 0.731 0.683 x1
O: 0.718 0.779 0.247 x1
O: 0.785 0.289 0.082 x1
O: 0.843 0.306 0.561 x1

Peak list (10 most intense, 10° ≤ 2θ ≤ 80°, in order of falling intensity)
- 25.8 deg, I = 100, (1 0 1)
- 29.1 deg, I = 74, (1 1 -1)
- 27.8 deg, I = 72, (-1 1 1)
- 17.1 deg, I = 66, (0 1 0)
- 32.8 deg, I = 57, (1 -2 1)
- 19.2 deg, I = 39, (0 1 -1)
- 15.8 deg, I = 37, (0 0 1)
- 35.2 deg, I = 37, (2 -1 0)
- 34.5 deg, I = 32, (0 2 0)
- 46.3 deg, I = 32, (2 1 0)